Entry 1:
The following is a computed XRD peak list of Th3Ga3Cu. It was derived from the GGA-PBE geometry in Alexandria, using Cu Ka.

Largest 8 diffraction maxima, low angle first, 10° ≤ 2θ ≤ 90°:
21.86 deg, rel. 23; 25.95 deg, rel. 20; 31.52 deg, rel. 49; 31.81 deg, rel. 38; 31.96 deg, rel. 100; 32.63 deg, rel. 33; 38.98 deg, rel. 49; 40.75 deg, rel. 37

Cell and atoms:
Cell: 5.921 5.921 14.473 Å, 108.77 108.77 43.92°
Atoms (fractional coordinates):
Th1 0.039 0.039 0.384
Th2 0.105 0.105 0.921
Th3 0.248 0.248 0.225
Th4 0.752 0.752 0.775
Th5 0.895 0.895 0.079
Th6 0.961 0.961 0.616
Ga1 0.363 0.363 0.455
Ga2 0.391 0.391 0.925
Ga3 0.457 0.457 0.765
Ga4 0.543 0.543 0.235
Ga5 0.609 0.609 0.075
Ga6 0.637 0.637 0.545
Cu1 0.252 0.252 0.606
Cu2 0.748 0.748 0.394

---

Entry 2:
The following is a computed XRD peak list of Cr2FeNi8. It was derived from the GGA-PBE geometry in Alexandria, using Cu Ka.

Largest 8 diffraction maxima, low angle first, 10° ≤ 2θ ≤ 90°:
15.15 deg, rel. 5; 44.97 deg, rel. 100; 51.68 deg, rel. 16; 52.70 deg, rel. 15; 52.87 deg, rel. 15; 76.94 deg, rel. 9; 77.07 deg, rel. 9; 77.89 deg, rel. 9

Cell and atoms:
Cell: 6.521 6.521 6.521 Å, 149.10 114.30 74.36°
Atoms (fractional coordinates):
Cr1 0.162 0.162 0.000
Cr2 0.838 0.838 0.000
Fe1 0.500 0.500 0.000
Ni1 0.081 0.335 0.746
Ni2 0.241 0.000 0.241
Ni3 0.330 0.830 0.500
Ni4 0.410 0.665 0.746
Ni5 0.590 0.335 0.254
Ni6 0.670 0.170 0.500
Ni7 0.759 0.000 0.759
Ni8 0.919 0.665 0.254

---

Entry 3:
The following is a computed XRD peak list of YErRuPt. It was derived from the GGA-PBE geometry in Alexandria, using Cu Ka.

Largest 8 diffraction maxima, low angle first, 10° ≤ 2θ ≤ 90°:
13.12 deg, rel. 12; 36.71 deg, rel. 52; 37.21 deg, rel. 100; 52.89 deg, rel. 18; 66.43 deg, rel. 36; 67.41 deg, rel. 17; 79.29 deg, rel. 11; 89.52 deg, rel. 9

Cell and atoms:
Cell: 3.462 3.462 6.749 Å, 90.00 90.00 90.00°
Atoms (fractional coordinates):
Y1 0.000 0.000 0.000
Er1 0.000 0.000 0.489
Ru1 0.500 0.500 0.250
Pt1 0.500 0.500 0.739

---

Entry 4:
The following is a computed XRD peak list of HoTaNi4. It was derived from the GGA-PBE geometry in Alexandria, using Cu Ka.

Largest 8 diffraction maxima, low angle first, 10° ≤ 2θ ≤ 90°:
22.11 deg, rel. 16; 36.49 deg, rel. 67; 43.08 deg, rel. 100; 45.09 deg, rel. 14; 65.68 deg, rel. 24; 70.22 deg, rel. 30; 77.53 deg, rel. 22; 88.86 deg, rel. 11

Cell and atoms:
Cell: 4.925 4.925 4.925 Å, 60.00 60.00 60.00°
Atoms (fractional coordinates):
Ho1 0.000 0.000 0.000
Ta1 0.250 0.250 0.250
Ni1 0.127 0.624 0.624
Ni2 0.624 0.127 0.624
Ni3 0.624 0.624 0.127
Ni4 0.624 0.624 0.624

---

Entry 5:
The following is a computed XRD peak list of NaTe2S6. It was derived from the GGA-PBE geometry in Alexandria, using Cu Ka.

Largest 8 diffraction maxima, low angle first, 10° ≤ 2θ ≤ 90°:
15.34 deg, rel. 46; 19.39 deg, rel. 100; 22.00 deg, rel. 30; 25.29 deg, rel. 41; 27.98 deg, rel. 26; 28.14 deg, rel. 35; 28.52 deg, rel. 23; 29.72 deg, rel. 44

Cell and atoms:
Cell: 5.054 6.825 8.310 Å, 76.64 89.46 79.20°
Atoms (fractional coordinates):
Na1 0.000 0.000 0.000
Te1 0.445 0.036 0.563
Te2 0.641 0.622 0.144
S1 0.036 0.317 0.546
S2 0.062 0.396 0.075
S3 0.259 0.802 0.374
S4 0.296 0.594 0.944
S5 0.736 0.237 0.696
S6 0.859 0.922 0.341

---

Entry 6:
The following is a computed XRD peak list of CaCd3AgPd. It was derived from the GGA-PBE geometry in Alexandria, using Cu Ka.

Largest 8 diffraction maxima, low angle first, 10° ≤ 2θ ≤ 90°:
15.29 deg, rel. 67; 24.82 deg, rel. 23; 34.64 deg, rel. 45; 36.78 deg, rel. 100; 39.46 deg, rel. 33; 40.03 deg, rel. 70; 53.50 deg, rel. 24; 71.91 deg, rel. 20

Cell and atoms:
Cell: 7.379 7.379 5.782 Å, 90.00 90.00 103.51°
Atoms (fractional coordinates):
Ca1 0.177 0.823 0.750
Ca2 0.823 0.177 0.250
Cd1 0.243 0.243 0.000
Cd2 0.243 0.243 0.500
Cd3 0.317 0.683 0.250
Cd4 0.683 0.317 0.750
Cd5 0.757 0.757 0.000
Cd6 0.757 0.757 0.500
Ag1 0.437 0.563 0.750
Ag2 0.563 0.437 0.250
Pd1 0.079 0.921 0.250
Pd2 0.921 0.079 0.750

---

Entry 7:
The following is a computed XRD peak list of RbMg6CO8. It was derived from the GGA-PBE geometry in Alexandria, using Cu Ka.

Largest 8 diffraction maxima, low angle first, 10° ≤ 2θ ≤ 90°:
20.87 deg, rel. 15; 33.89 deg, rel. 29; 35.44 deg, rel. 100; 46.29 deg, rel. 21; 50.99 deg, rel. 31; 59.62 deg, rel. 28; 71.31 deg, rel. 16; 85.78 deg, rel. 13

Cell and atoms:
Cell: 5.066 5.066 7.845 Å, 90.00 90.00 90.00°
Atoms (fractional coordinates):
Rb1 0.000 0.000 0.000
Mg1 0.000 0.500 0.255
Mg2 0.000 0.500 0.745
Mg3 0.500 0.000 0.255
Mg4 0.500 0.000 0.745
Mg5 0.500 0.500 0.000
Mg6 0.500 0.500 0.500
C1 0.000 0.000 0.500
O1 0.000 0.000 0.344
O2 0.000 0.000 0.656
O3 0.000 0.500 0.000
O4 0.000 0.500 0.500
O5 0.500 0.000 0.000
O6 0.500 0.000 0.500
O7 0.500 0.500 0.249
O8 0.500 0.500 0.751

---

Entry 8:
The following is a computed XRD peak list of CeVGe2. It was derived from the GGA-PBE geometry in Alexandria, using Cu Ka.

Largest 8 diffraction maxima, low angle first, 10° ≤ 2θ ≤ 90°:
28.59 deg, rel. 36; 30.89 deg, rel. 62; 32.45 deg, rel. 94; 35.06 deg, rel. 45; 36.73 deg, rel. 100; 42.11 deg, rel. 39; 42.85 deg, rel. 40; 46.10 deg, rel. 47

Cell and atoms:
Cell: 7.735 3.938 10.240 Å, 90.00 90.00 90.00°
Atoms (fractional coordinates):
Ce1 0.130 0.250 0.138
Ce2 0.370 0.750 0.638
Ce3 0.630 0.250 0.362
Ce4 0.870 0.750 0.862
V1 0.017 0.750 0.408
V2 0.483 0.250 0.908
V3 0.517 0.750 0.092
V4 0.983 0.250 0.592
Ge1 0.162 0.250 0.801
Ge2 0.236 0.250 0.445
Ge3 0.264 0.750 0.945
Ge4 0.338 0.750 0.301
Ge5 0.662 0.250 0.699
Ge6 0.736 0.250 0.055
Ge7 0.764 0.750 0.555
Ge8 0.838 0.750 0.199

---

Entry 9:
The following is a computed XRD peak list of SmH7Pd5. It was derived from the GGA-PBE geometry in Alexandria, using Cu Ka.

Largest 8 diffraction maxima, low angle first, 10° ≤ 2θ ≤ 90°:
31.00 deg, rel. 34; 36.18 deg, rel. 40; 36.70 deg, rel. 56; 36.81 deg, rel. 54; 37.07 deg, rel. 37; 37.27 deg, rel. 100; 37.45 deg, rel. 50; 39.10 deg, rel. 45

Cell and atoms:
Cell: 5.606 5.634 5.702 Å, 118.84 90.21 119.46°
Atoms (fractional coordinates):
Sm1 0.000 0.000 0.000
H1 0.190 0.514 0.455
H2 0.405 0.753 0.176
H3 0.530 0.974 0.947
H4 0.557 0.430 0.659
H5 0.757 0.619 0.182
H6 0.983 0.437 0.926
H7 0.997 0.054 0.567
Pd1 0.086 0.754 0.412
Pd2 0.253 0.491 0.764
Pd3 0.561 0.703 0.413
Pd4 0.576 0.172 0.309
Pd5 0.612 0.266 0.849

---

Entry 10:
The following is a computed XRD peak list of Tb3Pm8Pu. It was derived from the GGA-PBE geometry in Alexandria, using Cu Ka.

Largest 8 diffraction maxima, low angle first, 10° ≤ 2θ ≤ 90°:
14.38 deg, rel. 33; 21.11 deg, rel. 37; 24.11 deg, rel. 45; 28.99 deg, rel. 72; 31.03 deg, rel. 57; 36.13 deg, rel. 100; 42.97 deg, rel. 44; 44.46 deg, rel. 39

Cell and atoms:
Cell: 8.437 8.437 8.437 Å, 117.83 117.83 93.80°
Atoms (fractional coordinates):
Tb1 0.000 0.000 0.000
Tb2 0.250 0.750 0.500
Tb3 0.750 0.250 0.500
Pm1 0.139 0.388 0.000
Pm2 0.241 0.241 0.530
Pm3 0.289 0.759 0.000
Pm4 0.388 0.139 0.000
Pm5 0.612 0.612 0.751
Pm6 0.711 0.711 0.470
Pm7 0.759 0.289 0.000
Pm8 0.861 0.861 0.249
Pu1 0.500 0.500 0.000

---

Entry 11:
The following is a computed XRD peak list of TlCd3C4O12. It was derived from the GGA-PBE geometry in Alexandria, using Cu Ka.

Largest 8 diffraction maxima, low angle first, 10° ≤ 2θ ≤ 90°:
22.58 deg, rel. 78; 28.96 deg, rel. 100; 35.08 deg, rel. 34; 42.13 deg, rel. 23; 46.11 deg, rel. 15; 47.04 deg, rel. 28; 47.69 deg, rel. 34; 55.95 deg, rel. 16

Cell and atoms:
Cell: 6.564 6.564 6.564 Å, 102.40 102.40 102.40°
Atoms (fractional coordinates):
Tl1 0.000 0.000 0.000
Cd1 0.000 0.528 0.472
Cd2 0.472 0.000 0.528
Cd3 0.528 0.472 0.000
C1 0.030 0.500 0.970
C2 0.500 0.500 0.500
C3 0.500 0.970 0.030
C4 0.970 0.030 0.500
O1 0.022 0.618 0.834
O2 0.096 0.904 0.500
O3 0.166 0.382 0.978
O4 0.373 0.627 0.500
O5 0.382 0.978 0.166
O6 0.500 0.096 0.904
O7 0.500 0.373 0.627
O8 0.618 0.834 0.022
O9 0.627 0.500 0.373
O10 0.834 0.022 0.618
O11 0.904 0.500 0.096
O12 0.978 0.166 0.382

---

Entry 12:
The following is a computed XRD peak list of Ti4SnW. It was derived from the GGA-PBE geometry in Alexandria, using Cu Ka.

Largest 8 diffraction maxima, low angle first, 10° ≤ 2θ ≤ 90°:
24.35 deg, rel. 100; 24.91 deg, rel. 30; 40.17 deg, rel. 71; 40.89 deg, rel. 61; 47.53 deg, rel. 17; 47.85 deg, rel. 32; 58.66 deg, rel. 21; 73.48 deg, rel. 21

Cell and atoms:
Cell: 7.604 7.604 7.604 Å, 34.34 34.34 34.34°
Atoms (fractional coordinates):
Ti1 0.114 0.114 0.114
Ti2 0.366 0.366 0.366
Ti3 0.634 0.634 0.634
Ti4 0.886 0.886 0.886
Sn1 0.500 0.500 0.500
W1 0.000 0.000 0.000